Diffraction record for Pm2PrHo2Tm2. The X-ray diffraction stick pattern is simulated, not measured: it uses DFT lattice parameters and positions (PBE) and Cu Ka.
No peak broadening, texture or thermal motion is included.

```
Pm2PrHo2Tm2
1.0
17.684 0.000 0.000
0.000 3.495 0.000
-3.881 0.000 7.548
Pm Pr Ho Tm
4 2 4 4
Direct
0.072 0.000 0.412
0.428 0.500 0.588
0.572 0.500 0.412
0.928 0.000 0.588
0.000 0.500 0.000
0.500 0.000 0.000
0.213 0.500 0.296
0.287 0.000 0.704
0.713 0.000 0.296
0.787 0.500 0.704
0.151 0.000 0.894
0.349 0.500 0.106
0.651 0.500 0.894
0.849 0.000 0.106
```

The 10 most intense peaks (10° ≤ 2θ ≤ 90°), most intense first:
2theta, I (rel.)
30.58, 100.0
33.81, 49.6
27.60, 40.7
32.30, 40.7
35.80, 40.5
61.86, 27.0
53.08, 19.8
38.51, 18.3
86.89, 14.4
62.88, 13.8

***

Diffraction record for Tb2Pr3Nd. The X-ray diffraction stick pattern is simulated, not measured: it uses DFT lattice parameters and positions (PBE) and Cu Ka.
No peak broadening, texture or thermal motion is included.

```
Tb2Pr3Nd
1.0
5.173 -3.658 0.000
5.173 3.658 0.000
-5.165 0.000 10.982
Tb Pr Nd
4 6 2
Direct
0.041 0.291 0.082
0.291 0.041 0.582
0.709 0.959 0.418
0.959 0.709 0.918
0.125 0.875 0.250
0.208 0.458 0.416
0.458 0.208 0.916
0.542 0.792 0.084
0.792 0.542 0.584
0.875 0.125 0.750
0.375 0.625 0.750
0.625 0.375 0.250
```

The 8 most intense peaks (10° ≤ 2θ ≤ 90°), most intense first:
2theta, I (rel.)
29.91, 100.0
34.67, 50.7
59.23, 43.3
49.85, 36.4
81.00, 17.6
83.57, 16.4
62.15, 12.5
73.16, 5.8

***

Diffraction record for Hf6ZnNi. The X-ray diffraction stick pattern is simulated, not measured: it uses DFT lattice parameters and positions (PBE) and Cu Ka.
No peak broadening, texture or thermal motion is included.

```
Hf6ZnNi
1.0
3.922 2.264 2.962
-3.922 2.264 2.962
0.000 -4.529 2.962
Hf Zn Ni
6 1 1
Direct
0.005 0.530 0.754
0.246 0.995 0.470
0.470 0.246 0.995
0.530 0.754 0.005
0.754 0.005 0.530
0.995 0.470 0.246
0.500 0.500 0.500
0.000 0.000 0.000
```

The 10 most intense peaks (10° ≤ 2θ ≤ 90°), most intense first:
2theta, I (rel.)
36.43, 100.0
38.07, 62.2
40.58, 41.7
33.20, 24.6
62.69, 18.9
23.93, 17.5
58.15, 17.3
63.68, 16.3
69.70, 15.9
42.83, 15.7

***

Diffraction record for RbGaRhF6. The X-ray diffraction stick pattern is simulated, not measured: it uses DFT lattice parameters and positions (PBE) and Cu Ka.
No peak broadening, texture or thermal motion is included.

```
RbGaRhF6
1.0
2.807 -4.707 0.000
2.807 4.707 0.000
-0.108 0.000 6.046
Rb Ga Rh F
1 1 1 6
Direct
0.000 0.000 0.000
0.663 0.337 0.500
0.328 0.672 0.500
0.369 0.366 0.328
0.370 0.028 0.665
0.634 0.631 0.672
0.648 0.068 0.299
0.932 0.352 0.701
0.972 0.630 0.335
```

The 10 most intense peaks (10° ≤ 2θ ≤ 90°), most intense first:
2theta, I (rel.)
23.42, 100.0
14.65, 91.9
23.78, 90.0
23.96, 88.9
44.85, 65.0
32.70, 51.7
44.44, 39.1
43.61, 34.4
31.89, 31.2
29.55, 28.2

***

Diffraction record for NaU2Pd2S4. The X-ray diffraction stick pattern is simulated, not measured: it uses DFT lattice parameters and positions (PBE) and Cu Ka.
No peak broadening, texture or thermal motion is included.

```
NaU2Pd2S4
1.0
7.027 -1.808 0.000
7.027 1.808 0.000
-2.836 0.000 6.672
Na U Pd S
1 2 2 4
Direct
0.000 0.000 0.000
0.132 0.132 0.582
0.868 0.868 0.418
0.322 0.322 0.987
0.678 0.678 0.013
0.210 0.210 0.275
0.484 0.484 0.286
0.516 0.516 0.714
0.790 0.790 0.725
```

The 10 most intense peaks (10° ≤ 2θ ≤ 90°), most intense first:
2theta, I (rel.)
27.61, 100.0
38.18, 89.3
42.94, 60.2
14.89, 58.9
31.71, 46.5
35.25, 44.1
46.06, 33.3
25.53, 33.2
34.75, 31.8
13.27, 31.0

***

Diffraction record for Ho2MgAu4. The X-ray diffraction stick pattern is simulated, not measured: it uses DFT lattice parameters and positions (PBE) and Cu Ka.
No peak broadening, texture or thermal motion is included.

```
Ho2MgAu4
1.0
2.350 1.357 8.438
-2.350 1.357 8.438
0.000 -2.714 8.438
Ho Mg Au
2 1 4
Direct
0.247 0.247 0.247
0.753 0.753 0.753
0.000 0.000 0.000
0.131 0.131 0.131
0.364 0.364 0.364
0.636 0.636 0.636
0.869 0.869 0.869
```

The 10 most intense peaks (10° ≤ 2θ ≤ 90°), most intense first:
2theta, I (rel.)
35.95, 100.0
38.29, 97.3
22.95, 40.2
26.02, 35.5
53.53, 32.3
67.71, 32.1
42.03, 27.2
69.24, 17.4
79.40, 15.1
63.03, 12.5